No. 1
For KInN, DFT lattice parameters and positions (GGA-PBE) gives the simulated powder XRD pattern in this record (Cu Ka).
Intensities are scaled so that the largest is 100.

Main lines, sorted by position (5 to 70 degrees two-theta):
2θ/deg	intensity
14.56	55
28.53	36
29.37	29
32.15	100
41.47	22
50.53	23

Atomic structure:
```
data_KInN
_chemical_formula_sum 'K2 In2 N2'
_cell_length_a 6.254
_cell_length_b 3.615
_cell_length_c 6.083
_cell_angle_alpha 90.00
_cell_angle_beta 90.33
_cell_angle_gamma 90.00
_symmetry_space_group_name_H-M 'P 1'
_symmetry_Int_Tables_number 1
_symmetry_space_group_name_Hall 'P 1'
loop_
_atom_site_label
_atom_site_type_symbol
_atom_site_fract_x
_atom_site_fract_y
_atom_site_fract_z
_atom_site_occupancy
K1 K 0.000 0.000 0.000 1
K2 K 0.500 0.500 0.000 1
In1 In 0.164 0.500 0.547 1
In2 In 0.664 0.000 0.547 1
N1 N 0.331 0.000 0.686 1
N2 N 0.831 0.500 0.686 1
```

***

No. 2
For KInN, DFT lattice parameters and positions (GGA-PBE) gives the simulated powder XRD pattern in this record (Cu Ka).
Intensities are scaled so that the largest is 100.

Main lines, sorted by position (5 to 70 degrees two-theta):
2θ/deg	intensity
20.23	64
28.76	100
29.21	67
29.48	65
41.13	36
52.39	17

Atomic structure:
```
data_KInN
_chemical_formula_sum 'K2 In2 N2'
_cell_length_a 6.206
_cell_length_b 6.210
_cell_length_c 4.224
_cell_angle_alpha 90.00
_cell_angle_beta 90.74
_cell_angle_gamma 90.00
_symmetry_space_group_name_H-M 'P 1'
_symmetry_Int_Tables_number 1
_symmetry_space_group_name_Hall 'P 1'
loop_
_atom_site_label
_atom_site_type_symbol
_atom_site_fract_x
_atom_site_fract_y
_atom_site_fract_z
_atom_site_occupancy
K1 K 0.000 0.000 0.000 1
K2 K 0.500 0.500 0.000 1
In1 In 0.000 0.500 0.500 1
In2 In 0.500 0.000 0.500 1
N1 N 0.000 0.500 0.000 1
N2 N 0.500 0.000 0.000 1
```

***

No. 3
For KNa3In9, DFT lattice parameters and positions (GGA-PBE) gives the simulated powder XRD pattern in this record (Cu Ka).
Intensities are scaled so that the largest is 100.

Main lines, sorted by position (5 to 70 degrees two-theta):
2θ/deg	intensity
11.25	71
20.89	50
22.59	57
32.25	59
37.75	100
41.06	54

Atomic structure:
```
data_KNa3In9
_chemical_formula_sum 'K4 Na12 In36'
_cell_length_a 9.901
_cell_length_b 9.901
_cell_length_c 17.791
_cell_angle_alpha 90.00
_cell_angle_beta 90.00
_cell_angle_gamma 117.71
_symmetry_space_group_name_H-M 'P 1'
_symmetry_Int_Tables_number 1
_symmetry_space_group_name_Hall 'P 1'
loop_
_atom_site_label
_atom_site_type_symbol
_atom_site_fract_x
_atom_site_fract_y
_atom_site_fract_z
_atom_site_occupancy
K1 K 0.034 0.966 0.841 1
K2 K 0.466 0.534 0.341 1
K3 K 0.534 0.466 0.659 1
K4 K 0.966 0.034 0.159 1
Na1 Na 0.040 0.576 0.911 1
Na2 Na 0.076 0.540 0.411 1
Na3 Na 0.135 0.365 0.750 1
Na4 Na 0.365 0.135 0.250 1
Na5 Na 0.424 0.960 0.911 1
Na6 Na 0.460 0.924 0.411 1
Na7 Na 0.540 0.076 0.589 1
Na8 Na 0.576 0.040 0.089 1
Na9 Na 0.635 0.865 0.750 1
Na10 Na 0.865 0.635 0.250 1
Na11 Na 0.924 0.460 0.589 1
Na12 Na 0.960 0.424 0.089 1
In1 In 0.087 0.413 0.250 1
In2 In 0.093 0.207 0.370 1
In3 In 0.104 0.896 0.361 1
In4 In 0.160 0.323 0.962 1
In5 In 0.163 0.837 0.523 1
In6 In 0.174 0.826 0.086 1
In7 In 0.177 0.340 0.538 1
In8 In 0.207 0.093 0.630 1
In9 In 0.242 0.758 0.245 1
In10 In 0.258 0.742 0.745 1
In11 In 0.293 0.407 0.130 1
In12 In 0.323 0.160 0.038 1
In13 In 0.326 0.674 0.586 1
In14 In 0.337 0.663 0.023 1
In15 In 0.340 0.177 0.462 1
In16 In 0.396 0.604 0.861 1
In17 In 0.407 0.293 0.870 1
In18 In 0.413 0.087 0.750 1
In19 In 0.587 0.913 0.250 1
In20 In 0.593 0.707 0.130 1
In21 In 0.604 0.396 0.139 1
In22 In 0.660 0.823 0.538 1
In23 In 0.663 0.337 0.977 1
In24 In 0.674 0.326 0.414 1
In25 In 0.677 0.840 0.962 1
In26 In 0.707 0.593 0.870 1
In27 In 0.742 0.258 0.255 1
In28 In 0.758 0.242 0.755 1
In29 In 0.793 0.907 0.370 1
In30 In 0.823 0.660 0.462 1
In31 In 0.826 0.174 0.914 1
In32 In 0.837 0.163 0.477 1
In33 In 0.840 0.677 0.038 1
In34 In 0.896 0.104 0.639 1
In35 In 0.907 0.793 0.630 1
In36 In 0.913 0.587 0.750 1
```

***

No. 4
For K3Na2InO4, DFT lattice parameters and positions (GGA-PBE) gives the simulated powder XRD pattern in this record (Cu Ka).
Intensities are scaled so that the largest is 100.

Main lines, sorted by position (5 to 70 degrees two-theta):
2θ/deg	intensity
15.06	54
17.27	98
20.05	46
30.08	100
31.85	40
38.75	38

Atomic structure:
```
data_K3Na2InO4
_chemical_formula_sum 'K12 Na8 In4 O16'
_cell_length_a 7.352
_cell_length_b 9.816
_cell_length_c 12.550
_cell_angle_alpha 90.00
_cell_angle_beta 125.01
_cell_angle_gamma 90.00
_symmetry_space_group_name_H-M 'P 1'
_symmetry_Int_Tables_number 1
_symmetry_space_group_name_Hall 'P 1'
loop_
_atom_site_label
_atom_site_type_symbol
_atom_site_fract_x
_atom_site_fract_y
_atom_site_fract_z
_atom_site_occupancy
K1 K 0.059 0.245 0.162 1
K2 K 0.059 0.255 0.662 1
K3 K 0.282 0.007 0.518 1
K4 K 0.282 0.493 0.018 1
K5 K 0.429 0.662 0.602 1
K6 K 0.429 0.838 0.102 1
K7 K 0.571 0.162 0.898 1
K8 K 0.571 0.338 0.398 1
K9 K 0.718 0.507 0.982 1
K10 K 0.718 0.993 0.482 1
K11 K 0.941 0.745 0.338 1
K12 K 0.941 0.755 0.838 1
Na1 Na 0.185 0.568 0.725 1
Na2 Na 0.185 0.932 0.225 1
Na3 Na 0.248 0.165 0.992 1
Na4 Na 0.248 0.335 0.492 1
Na5 Na 0.752 0.665 0.508 1
Na6 Na 0.752 0.835 0.008 1
Na7 Na 0.815 0.068 0.775 1
Na8 Na 0.815 0.432 0.275 1
In1 In 0.295 0.634 0.271 1
In2 In 0.295 0.866 0.771 1
In3 In 0.705 0.134 0.229 1
In4 In 0.705 0.366 0.729 1
O1 O 0.070 0.713 0.083 1
O2 O 0.070 0.787 0.583 1
O3 O 0.160 0.024 0.818 1
O4 O 0.160 0.476 0.318 1
O5 O 0.395 0.706 0.908 1
O6 O 0.395 0.794 0.408 1
O7 O 0.409 0.082 0.210 1
O8 O 0.409 0.418 0.710 1
O9 O 0.591 0.582 0.290 1
O10 O 0.591 0.918 0.790 1
O11 O 0.605 0.206 0.592 1
O12 O 0.605 0.294 0.092 1
O13 O 0.840 0.524 0.682 1
O14 O 0.840 0.976 0.182 1
O15 O 0.930 0.213 0.417 1
O16 O 0.930 0.287 0.917 1
```

***

No. 5
For K2NaInSb2, DFT lattice parameters and positions (GGA-PBE) gives the simulated powder XRD pattern in this record (Cu Ka).
Intensities are scaled so that the largest is 100.

Main lines, sorted by position (5 to 70 degrees two-theta):
2θ/deg	intensity
10.63	58
14.94	34
20.65	61
27.83	47
33.16	100
35.75	56

Atomic structure:
```
data_K2NaInSb2
_chemical_formula_sum 'K8 Na4 In4 Sb8'
_cell_length_a 10.952
_cell_length_b 10.952
_cell_length_c 7.089
_cell_angle_alpha 90.00
_cell_angle_beta 90.00
_cell_angle_gamma 98.91
_symmetry_space_group_name_H-M 'P 1'
_symmetry_Int_Tables_number 1
_symmetry_space_group_name_Hall 'P 1'
loop_
_atom_site_label
_atom_site_type_symbol
_atom_site_fract_x
_atom_site_fract_y
_atom_site_fract_z
_atom_site_occupancy
K1 K 0.076 0.424 0.750 1
K2 K 0.172 0.828 0.779 1
K3 K 0.328 0.672 0.279 1
K4 K 0.424 0.076 0.250 1
K5 K 0.576 0.924 0.750 1
K6 K 0.672 0.328 0.721 1
K7 K 0.828 0.172 0.221 1
K8 K 0.924 0.576 0.250 1
Na1 Na 0.119 0.119 0.000 1
Na2 Na 0.381 0.381 0.500 1
Na3 Na 0.619 0.619 0.500 1
Na4 Na 0.881 0.881 0.000 1
In1 In 0.132 0.132 0.500 1
In2 In 0.368 0.368 0.000 1
In3 In 0.632 0.632 0.000 1
In4 In 0.868 0.868 0.500 1
Sb1 Sb 0.106 0.894 0.294 1
Sb2 Sb 0.144 0.356 0.250 1
Sb3 Sb 0.356 0.144 0.750 1
Sb4 Sb 0.394 0.606 0.794 1
Sb5 Sb 0.606 0.394 0.206 1
Sb6 Sb 0.644 0.856 0.250 1
Sb7 Sb 0.856 0.644 0.750 1
Sb8 Sb 0.894 0.106 0.706 1
```

***

No. 6
For KNdNbInO6, DFT lattice parameters and positions (GGA-PBE) gives the simulated powder XRD pattern in this record (Cu Ka).
Intensities are scaled so that the largest is 100.

Main lines, sorted by position (5 to 70 degrees two-theta):
2θ/deg	intensity
18.67	18
30.71	100
36.18	11
43.99	33
54.60	39
63.96	20

Atomic structure:
```
data_KNdNbInO6
_chemical_formula_sum 'K1 Nd1 Nb1 In1 O6'
_cell_length_a 5.822
_cell_length_b 5.822
_cell_length_c 5.822
_cell_angle_alpha 60.00
_cell_angle_beta 60.00
_cell_angle_gamma 60.00
_symmetry_space_group_name_H-M 'P 1'
_symmetry_Int_Tables_number 1
_symmetry_space_group_name_Hall 'P 1'
loop_
_atom_site_label
_atom_site_type_symbol
_atom_site_fract_x
_atom_site_fract_y
_atom_site_fract_z
_atom_site_occupancy
K1 K 0.000 0.000 0.000 1
Nd1 Nd 0.500 0.500 0.500 1
Nb1 Nb 0.250 0.250 0.250 1
In1 In 0.750 0.750 0.750 1
O1 O 0.008 0.008 0.492 1
O2 O 0.008 0.492 0.008 1
O3 O 0.008 0.492 0.492 1
O4 O 0.492 0.008 0.008 1
O5 O 0.492 0.008 0.492 1
O6 O 0.492 0.492 0.008 1
```

***

No. 7
For KNb4InO12, DFT lattice parameters and positions (GGA-PBE) gives the simulated powder XRD pattern in this record (Cu Ka).
Intensities are scaled so that the largest is 100.

Main lines, sorted by position (5 to 70 degrees two-theta):
2θ/deg	intensity
19.53	78
22.30	43
22.60	44
31.96	82
32.16	100
32.37	94

Atomic structure:
```
data_KNb4InO12
_chemical_formula_sum 'K1 Nb4 In1 O12'
_cell_length_a 7.973
_cell_length_b 5.532
_cell_length_c 5.532
_cell_angle_alpha 89.32
_cell_angle_beta 90.00
_cell_angle_gamma 90.00
_symmetry_space_group_name_H-M 'P 1'
_symmetry_Int_Tables_number 1
_symmetry_space_group_name_Hall 'P 1'
loop_
_atom_site_label
_atom_site_type_symbol
_atom_site_fract_x
_atom_site_fract_y
_atom_site_fract_z
_atom_site_occupancy
K1 K 0.000 0.000 0.000 1
Nb1 Nb 0.247 0.012 0.507 1
Nb2 Nb 0.247 0.507 0.012 1
Nb3 Nb 0.753 0.012 0.507 1
Nb4 Nb 0.753 0.507 0.012 1
In1 In 0.500 0.543 0.543 1
O1 O 0.000 0.068 0.486 1
O2 O 0.000 0.486 0.068 1
O3 O 0.216 0.732 0.732 1
O4 O 0.257 0.230 0.819 1
O5 O 0.257 0.819 0.230 1
O6 O 0.316 0.341 0.341 1
O7 O 0.500 0.550 0.935 1
O8 O 0.500 0.935 0.550 1
O9 O 0.684 0.341 0.341 1
O10 O 0.743 0.230 0.819 1
O11 O 0.743 0.819 0.230 1
O12 O 0.784 0.732 0.732 1
```

***

What did the sixth record say?
For KNdNbInO6, DFT lattice parameters and positions (GGA-PBE) gives the simulated powder XRD pattern in this record (Cu Ka).
Intensities are scaled so that the largest is 100.

Main lines, sorted by position (5 to 70 degrees two-theta):
2θ/deg	intensity
18.67	18
30.71	100
36.18	11
43.99	33
54.60	39
63.96	20

Atomic structure:
```
data_KNdNbInO6
_chemical_formula_sum 'K1 Nd1 Nb1 In1 O6'
_cell_length_a 5.822
_cell_length_b 5.822
_cell_length_c 5.822
_cell_angle_alpha 60.00
_cell_angle_beta 60.00
_cell_angle_gamma 60.00
_symmetry_space_group_name_H-M 'P 1'
_symmetry_Int_Tables_number 1
_symmetry_space_group_name_Hall 'P 1'
loop_
_atom_site_label
_atom_site_type_symbol
_atom_site_fract_x
_atom_site_fract_y
_atom_site_fract_z
_atom_site_occupancy
K1 K 0.000 0.000 0.000 1
Nd1 Nd 0.500 0.500 0.500 1
Nb1 Nb 0.250 0.250 0.250 1
In1 In 0.750 0.750 0.750 1
O1 O 0.008 0.008 0.492 1
O2 O 0.008 0.492 0.008 1
O3 O 0.008 0.492 0.492 1
O4 O 0.492 0.008 0.008 1
O5 O 0.492 0.008 0.492 1
O6 O 0.492 0.492 0.008 1
```